1.
Calculated X-ray powder pattern
Compound: ScCuSe2
Radiation: Cu Kα (λ = 1.5418 Å)
Structure: a PBE-relaxed structure

Most intense lines, 5 to 70 degrees two-theta, sorted by position:
hkl	2theta	d [Å]	Rel. int.
2 0 0	26.43	3.373	24
2 0 -4	28.00	3.186	17
0 2 2	29.98	2.981	100
1 2 -4	38.86	2.318	45
4 0 -4	38.93	2.314	25
3 2 0	46.64	1.947	76
1 0 -6	50.70	1.801	13
4 2 -6	50.82	1.797	43
3 4 -2	56.49	1.629	10
4 4 -4	62.36	1.489	11

Crystal structure
a b c (Å): 9.2702 7.7813 12.7451
angles (deg): 90.00 133.25 90.00
Space group P2_1/c (No. 14)
Symmetry-distinct sites (fractional):
Sc (0.0011, 0.2421, 0.0034) x4
Sc (0.4948, 0.9996, 0.2389) x4
Cu (0.1662, 0.0008, 0.8929) x4
Cu (0.3347, 0.2492, 0.3586) x4
Se (0.1620, 0.5019, 0.2002) x4
Se (0.1713, 0.5051, 0.7084) x4
Se (0.3303, 0.7447, 0.0418) x4
Se (0.3335, 0.2421, 0.5486) x4

=====

2.
Calculated X-ray powder pattern
Compound: ScCuSe2
Radiation: Cu Kα (λ = 1.5418 Å)
Structure: a PBE-relaxed structure

Most intense lines, 5 to 70 degrees two-theta, sorted by position:
hkl	2theta	d [Å]	Rel. int.
0 0 1	14.08	6.292	12
1 0 0	26.08	3.416	37
0 0 2	28.37	3.146	23
0 1 1	29.76	3.002	100
0 1 2	38.92	2.314	63
1 1 0	46.01	1.972	68
1 0 3	51.10	1.787	47
1 1 2	54.94	1.671	21
2 0 1	55.76	1.649	16
2 0 2	61.80	1.501	15

Crystal structure
a b c (Å): 3.9449 3.9449 6.2921
angles (deg): 90.00 90.00 120.00
Space group P3m1 (No. 156)
Symmetry-distinct sites (fractional):
Sc (0.0000, 0.0000, 0.0000) x1
Cu (0.3333, 0.6667, 0.6096) x1
Se (0.3333, 0.6667, 0.2257) x1
Se (0.6667, 0.3333, 0.7402) x1

=====

3.
Calculated X-ray powder pattern
Compound: ScCu3Se3
Radiation: Cu Kα (λ = 1.5418 Å)
Structure: a PBE-relaxed structure

Most intense lines, 5 to 70 degrees two-theta, sorted by position:
hkl	2theta	d [Å]	Rel. int.
0 0 3	13.87	6.387	16
1 1 0	26.14	3.409	60
0 0 6	27.94	3.193	16
1 1 3	29.71	3.007	51
1 1 6	38.64	2.330	100
3 0 0	46.12	1.968	93
2 -1 9	50.55	1.806	67
3 0 6	54.79	1.675	15
4 -2 3	55.83	1.647	8
4 -2 6	61.69	1.504	23

Crystal structure
a b c (Å): 6.8175 6.8175 19.1596
angles (deg): 90.00 90.00 120.00
Space group R-3 (No. 148, hexagonal axes)
Symmetry-distinct sites (fractional):
Sc (0.0000, 0.0000, 0.1662) x6
Cu (0.0010, 0.3502, 0.6267) x18
Se (0.0016, 0.3273, 0.4228) x18

=====

4.
Calculated X-ray powder pattern
Compound: SrScCu3Se4
Radiation: Cu Kα (λ = 1.5418 Å)
Structure: a PBE-relaxed structure

Most intense lines, 5 to 70 degrees two-theta, sorted by position:
hkl	2theta	d [Å]	Rel. int.
1 0 0	14.39	6.155	7
1 1 0	20.41	4.352	7
1 1 1	25.06	3.554	100
2 1 1	35.73	2.513	6
2 2 0	41.50	2.176	99
3 1 1	49.09	1.856	44
3 2 1	55.89	1.645	4
4 0 0	60.13	1.539	15
4 1 1	64.20	1.451	4
3 3 1	66.18	1.412	16

Crystal structure
a b c (Å): 6.1551 6.1551 6.1551
angles (deg): 90.00 90.00 90.00
Space group P-43m (No. 215)
Symmetry-distinct sites (fractional):
Sr (0.0000, 0.0000, 0.0000) x1
Sc (0.5000, 0.5000, 0.5000) x1
Cu (0.0000, 0.5000, 0.5000) x3
Se (0.2686, 0.2686, 0.7314) x4

=====

5.
Calculated X-ray powder pattern
Compound: Sc2TlCu3Se5
Radiation: Cu Kα (λ = 1.5418 Å)
Structure: a PBE-relaxed structure

Most intense lines, 5 to 70 degrees two-theta, sorted by position:
hkl	2theta	d [Å]	Rel. int.
1 1 2	25.63	3.475	46
1 3 1	29.69	3.009	100
0 4 3	29.80	2.998	46
0 2 5	29.98	2.981	41
1 3 2	31.20	2.867	49
0 0 6	32.80	2.731	50
1 3 4	36.65	2.452	33
1 5 2	40.27	2.240	33
2 0 0	45.55	1.991	45
1 3 7	48.99	1.859	64

Crystal structure
a b c (Å): 3.9825 14.3498 16.3849
angles (deg): 90.00 90.00 90.00
Space group Cmcm (No. 63)
Symmetry-distinct sites (fractional):
Sc (0.0000, 0.1919, 0.0940) x8
Tl (0.0000, 0.0648, 0.7500) x4
Cu (0.0000, 0.3473, 0.7500) x4
Cu (0.0000, 0.4174, 0.0358) x8
Se (0.0000, 0.1741, 0.5709) x8
Se (0.0000, 0.2505, 0.2500) x4
Se (0.0000, 0.4365, 0.6171) x8

=====

6.
Calculated X-ray powder pattern
Compound: Sc3Cu4Si4
Radiation: Cu Kα (λ = 1.5418 Å)
Structure: a PBE-relaxed structure

Most intense lines, 5 to 70 degrees two-theta, sorted by position:
hkl	2theta	d [Å]	Rel. int.
0 0 2	13.50	6.561	41
1 0 3	30.44	2.936	33
1 2 1	36.66	2.451	100
1 1 4	38.28	2.351	72
0 0 6	41.28	2.187	53
1 2 3	41.67	2.167	51
2 0 0	45.81	1.981	53
0 3 3	47.25	1.924	48
0 2 6	50.44	1.809	56
2 3 3	67.92	1.380	29

Crystal structure
a b c (Å): 3.9619 6.4253 13.1212
angles (deg): 90.00 90.00 90.00
Space group Immm (No. 71)
Symmetry-distinct sites (fractional):
Sc (0.0000, 0.0000, 0.0000) x2
Sc (0.0000, 0.5000, 0.1266) x4
Cu (0.0000, 0.3067, 0.3298) x8
Si (0.0000, 0.0000, 0.2168) x4
Si (0.0000, 0.1861, 0.5000) x4

=====

7.
Calculated X-ray powder pattern
Compound: ScCu4Sn
Radiation: Cu Kα (λ = 1.5418 Å)
Structure: a PBE-relaxed structure

Most intense lines, 5 to 70 degrees two-theta, sorted by position:
hkl	2theta	d [Å]	Rel. int.
1 1 1	21.66	4.102	8
2 0 0	25.07	3.552	9
2 2 0	35.75	2.512	32
3 1 1	42.18	2.142	100
2 2 2	44.16	2.051	35
4 0 0	51.45	1.776	2
3 3 1	56.45	1.630	2
4 2 0	58.06	1.589	4
4 2 2	64.22	1.450	12
5 1 1	68.64	1.367	30

Crystal structure
a b c (Å): 7.1049 7.1049 7.1049
angles (deg): 90.00 90.00 90.00
Space group F-43m (No. 216)
Symmetry-distinct sites (fractional):
Sc (0.0000, 0.0000, 0.0000) x4
Cu (0.1256, 0.1256, 0.3744) x16
Sn (0.2500, 0.2500, 0.7500) x4

=====

8.
Calculated X-ray powder pattern
Compound: Sc6CuTe2
Radiation: Cu Kα (λ = 1.5418 Å)
Structure: a PBE-relaxed structure

Most intense lines, 5 to 70 degrees two-theta, sorted by position:
hkl	2theta	d [Å]	Rel. int.
4 0 2	24.27	3.668	46
5 1 1	33.44	2.680	100
0 1 3	34.37	2.609	45
2 0 4	34.61	2.592	44
2 1 3	35.54	2.526	34
8 0 0	35.71	2.514	43
5 1 2	36.53	2.460	35
3 1 3	36.97	2.432	38
6 1 2	39.54	2.279	50
0 2 0	47.67	1.908	43

Crystal structure
a b c (Å): 20.1003 3.8156 10.7300
angles (deg): 90.00 90.00 90.00
Space group Pnma (No. 62)
Symmetry-distinct sites (fractional):
Sc (0.0072, 0.2500, 0.1104) x4
Sc (0.0244, 0.7500, 0.3802) x4
Sc (0.1072, 0.2500, 0.8229) x4
Sc (0.1383, 0.7500, 0.0668) x4
Sc (0.1551, 0.2500, 0.5405) x4
Sc (0.2296, 0.7500, 0.7495) x4
Cu (0.0755, 0.7500, 0.6432) x4
Te (0.1256, 0.2500, 0.2740) x4
Te (0.2371, 0.2500, 0.9660) x4

=====

- Which formula does entry 7 have?
  ScCu4Sn